[1]
Computed powder X-ray diffraction pattern of YFe13 for Cu Kα (λ = 1.5418 Å), from a structure optimized by DFT (PBE).

The 10 most intense peaks (10 to 80 degrees two-theta), by intensity:
2θ/deg  I_rel
46.97  100
38.54  68
35.06  29
47.68  24
50.43  13
15.48  13
75.71  12
60.54  11
67.48  10
58.12  9

Cell and atoms:
```
YFe13
1.0
0.0000 5.7225 5.7225
5.7225 0.0000 5.7225
5.7225 5.7225 0.0000
Y Fe
2 26
Direct
0.2500 0.2500 0.2500
0.7500 0.7500 0.7500
0.0000 0.0000 0.0000
0.0633 0.2980 0.7020
0.0633 0.7020 0.9367
0.0633 0.9367 0.2980
0.2020 0.4367 0.7980
0.2020 0.5633 0.4367
0.2020 0.7980 0.5633
0.2980 0.0633 0.9367
0.2980 0.7020 0.0633
0.2980 0.9367 0.7020
0.4367 0.2020 0.5633
0.4367 0.5633 0.7980
0.4367 0.7980 0.2020
0.5000 0.5000 0.5000
0.5633 0.2020 0.7980
0.5633 0.4367 0.2020
0.5633 0.7980 0.4367
0.7020 0.0633 0.2980
0.7020 0.2980 0.9367
0.7020 0.9367 0.0633
0.7980 0.2020 0.4367
0.7980 0.4367 0.5633
0.7980 0.5633 0.2020
0.9367 0.0633 0.7020
0.9367 0.2980 0.0633
0.9367 0.7020 0.2980
```


[2]
Computed powder X-ray diffraction pattern of Y3Fe29 for Cu Kα (λ = 1.5418 Å), from a structure optimized by DFT (PBE).

The 10 most intense peaks (10 to 80 degrees two-theta), by intensity:
2θ/deg  I_rel
43.41  100
43.09  72
48.81  36
42.78  34
43.51  31
37.01  27
37.58  27
48.90  24
43.63  22
78.81  19

Cell and atoms:
```
Y3Fe29
1.0
4.8154 -4.2279 0.0000
4.8154 4.2279 0.0000
-1.1669 0.0000 10.3739
Y Fe
3 29
Direct
0.0000 0.0000 0.0000
0.1882 0.1882 0.5983
0.8118 0.8118 0.4017
0.0000 0.5000 0.0000
0.0918 0.0918 0.2920
0.0982 0.5932 0.8019
0.1263 0.6886 0.1975
0.1637 0.4605 0.3789
0.1882 0.6867 0.5953
0.2781 0.2781 0.8921
0.2902 0.2902 0.1407
0.3114 0.8737 0.8025
0.3133 0.8118 0.4047
0.3582 0.6418 0.0000
0.4068 0.9018 0.1981
0.4605 0.1637 0.3789
0.4802 0.4802 0.7458
0.5000 0.0000 0.0000
0.5000 0.5000 0.5000
0.5198 0.5198 0.2542
0.5395 0.8363 0.6211
0.5932 0.0982 0.8019
0.6418 0.3582 0.0000
0.6867 0.1882 0.5953
0.6886 0.1263 0.1975
0.7098 0.7098 0.8593
0.7219 0.7219 0.1079
0.8118 0.3133 0.4047
0.8363 0.5395 0.6211
0.8737 0.3114 0.8025
0.9018 0.4068 0.1981
0.9082 0.9082 0.7080
```


[3]
Computed powder X-ray diffraction pattern of YZr2Fe for Cu Kα (λ = 1.5418 Å), from a structure optimized by DFT (PBE).

The 10 most intense peaks (10 to 80 degrees two-theta), by intensity:
2θ/deg  I_rel
36.86  100
35.13  36
31.78  27
64.17  18
35.46  14
67.29  13
65.16  10
50.78  9
55.38  9
52.97  9

Cell and atoms:
```
YZr2Fe
1.0
-1.6589 2.5543 5.0629
1.6589 -2.5543 5.0629
1.6589 2.5543 -5.0629
Y Zr Fe
1 2 1
Direct
0.0000 0.0000 0.0000
0.2993 0.7993 0.5000
0.7007 0.2007 0.5000
0.5000 0.5000 0.0000
```


[4]
Computed powder X-ray diffraction pattern of Y3ZrFe8 for Cu Kα (λ = 1.5418 Å), from a structure optimized by DFT (PBE).

The 7 most intense peaks (10 to 80 degrees two-theta), by intensity:
2θ/deg  I_rel
41.48  100
35.15  44
67.39  29
43.41  26
74.30  23
63.07  15
50.56  1

Cell and atoms:
```
Y3ZrFe8
1.0
2.5530 1.4740 8.3378
-2.5530 1.4740 8.3378
0.0000 -2.9480 8.3378
Y Zr Fe
3 1 8
Direct
0.0000 0.0000 0.0000
0.1253 0.1253 0.1253
0.6247 0.6247 0.6247
0.5001 0.5001 0.5001
0.0615 0.0615 0.5597
0.0615 0.5597 0.0615
0.0668 0.5631 0.5631
0.3124 0.3124 0.3124
0.5597 0.0615 0.0615
0.5631 0.0668 0.5631
0.5631 0.5631 0.0668
0.8129 0.8129 0.8129
```